For LaFeBiO6, DFT lattice parameters and positions (PBE+U) gives the theoretical powder diffraction line list in this record (Cu Kα, 1.54184 Å).
Neutral-atom scattering factors, no anomalous dispersion.

Structure:
```
data_LaFeBiO6
_space_group_name_H-M_alt 'P 1 c 1'
_space_group_IT_number 7
_cell_length_a 5.530
_cell_length_b 6.029
_cell_length_c 9.768
_cell_angle_alpha 90.00
_cell_angle_beta 124.20
_cell_angle_gamma 90.00
loop_
_space_group_symop_operation_xyz
'x,y,z'
'x,-y,z+1/2'
loop_
_atom_site_label
_atom_site_type_symbol
_atom_site_fract_x
_atom_site_fract_y
_atom_site_fract_z
La1 La 0.000 0.165 0.000
Fe1 Fe 0.239 0.279 0.750
Bi1 Bi 0.741 0.288 0.252
O1 O 0.039 0.029 0.270
O2 O 0.358 0.444 0.199
O3 O 0.491 0.020 0.733
O4 O 0.568 0.262 0.993
O5 O 0.949 0.229 0.509
O6 O 0.971 0.416 0.797
```

Largest 6 diffraction maxima, in order of falling intensity, 5 to 70 degrees two-theta:
| d_spacing | 2θ/deg | I/Imax | hkl |
| --- | --- | --- | --- |
| 4.562 | 19.46 | 100 | 1 0 -2 |
| 4.832 | 18.36 | 91 | 0 1 1 |
| 2.874 | 31.12 | 90 | 1 1 1 |
| 2.864 | 31.23 | 89 | 1 1 -3 |
| 4.075 | 21.81 | 52 | 1 1 -1 |
| 2.765 | 32.38 | 49 | 2 0 -2 |